Diffraction record for Li6FeO4F2. The XRD peak list is theoretical, not measured: it uses the PBE+U geometry in Alexandria and Cu Kα.
Peak positions follow from Bragg's law for the DFT cell and can differ from measured ones.

Structural model:
```
data_Li6FeO4F2
_cell_length_a 5.492
_cell_length_b 5.536
_cell_length_c 5.623
_cell_angle_alpha 62.55
_cell_angle_beta 63.51
_cell_angle_gamma 62.80
_space_group_name_H-M_alt 'P -1'
_space_group_IT_number 2
_space_group_name_Hall '-P 1'
loop_
_atom_site_label
_atom_site_fract_x
_atom_site_fract_y
_atom_site_fract_z
_atom_site_occupancy
Li1 0.002 0.412 0.253 1
Li2 0.222 0.996 0.064 1
Li3 0.410 0.810 0.524 1
Fe1 0.500 0.500 0.000 1
O1 0.151 0.707 0.920 1
O2 0.398 0.163 0.209 1
F1 0.281 0.623 0.388 1
```

Top 10 peaks for 2θ from 10° to 80°, in order of rising 2θ:
2θ/deg  I/Imax  h k l
18.6  45  0 0 1
19.0  100  0 1 0
20.1  22  1 1 1
22.0  31  0 1 1
22.3  68  1 1 0
36.4  29  0 1 2
37.3  22  1 2 0
37.6  22  2 0 1
51.1  13  1 2 3
51.8  13  1 3 2